[1]
Structure and theoretical PXRD pattern of GdVB4 (a cell relaxed with PBE; Cu Kα).

Cell and atoms:
```
data_GdVB4
_chemical_formula_sum 'Gd4 V4 B16'
_cell_length_a 6.0254
_cell_length_b 11.6687
_cell_length_c 3.4728
_cell_angle_alpha 90.00
_cell_angle_beta 90.00
_cell_angle_gamma 90.00
_symmetry_space_group_name_H-M 'P b a m'
_symmetry_Int_Tables_number 55
loop_
_symmetry_equiv_pos_as_xyz
'x,y,z'
'-x,-y,-z'
'-x,-y,z'
'x,y,-z'
'x+1/2,-y+1/2,-z'
'-x+1/2,y+1/2,z'
'-x+1/2,y+1/2,-z'
'x+1/2,-y+1/2,z'
loop_
_atom_site_label
_atom_site_fract_x
_atom_site_fract_y
_atom_site_fract_z
_atom_site_occupancy
Gd1 0.1243 0.1515 0.0000 1
V1 0.1267 0.4175 0.0000 1
B1 0.0223 0.6917 0.5000 1
B2 0.1138 0.5472 0.5000 1
B3 0.1367 0.9673 0.5000 1
B4 0.2146 0.8148 0.5000 1
```

Peak list (10 most intense, 10 to 90 degrees two-theta, by angle)
Position (°2θ)	intensity	hkl
21.20	30	1 2 0
25.65	64	0 0 1
27.29	38	1 3 0
30.65	90	2 1 0
33.51	26	1 2 1
37.79	52	1 3 1
40.38	100	2 1 1
43.20	24	1 4 1
46.22	18	2 3 1
62.21	28	2 1 2


[2]
Structure and theoretical PXRD pattern of Ge3B (a cell relaxed with PBE; Cu Kα).

Cell and atoms:
```
data_Ge3B
_chemical_formula_sum 'Ge6 B2'
_cell_length_a 5.5742
_cell_length_b 5.5742
_cell_length_c 4.8107
_cell_angle_alpha 90.00
_cell_angle_beta 90.00
_cell_angle_gamma 120.00
_symmetry_space_group_name_H-M 'P 63/m m c'
_symmetry_Int_Tables_number 194
_symmetry_space_group_name_Hall '-P 6c 2c'
loop_
_atom_site_label
_atom_site_fract_x
_atom_site_fract_y
_atom_site_fract_z
_atom_site_occupancy
Ge1 0.1720 0.3441 0.2500 1
B1 0.3333 0.6667 0.7500 1
```

Peak list (10 most intense, 10 to 90 degrees two-theta, by angle)
Position (°2θ)	intensity	hkl
26.15	34	1 0 1
32.12	11	1 1 0
37.25	23	2 0 0
37.39	31	0 0 2
41.88	100	2 0 1
53.79	21	2 0 2
67.17	15	2 2 0
70.50	20	2 0 3
79.48	21	2 2 2
82.38	13	4 0 1


[3]
Structure and theoretical PXRD pattern of Ge3B (a cell relaxed with PBE; Cu Kα).

Cell and atoms:
```
data_Ge3B
_chemical_formula_sum 'Ge3 B1'
_cell_length_a 4.0152
_cell_length_b 4.0152
_cell_length_c 4.0152
_cell_angle_alpha 90.00
_cell_angle_beta 90.00
_cell_angle_gamma 90.00
_symmetry_space_group_name_H-M 'P m -3 m'
_symmetry_Int_Tables_number 221
_symmetry_space_group_name_Hall '-P 4 2 3'
loop_
_atom_site_label
_atom_site_fract_x
_atom_site_fract_y
_atom_site_fract_z
_atom_site_occupancy
Ge1 0.0000 0.0000 0.5000 1
B1 0.5000 0.5000 0.5000 1
```

Peak list (10 most intense, 10 to 90 degrees two-theta, by angle)
Position (°2θ)	intensity	hkl
22.14	26	1 0 0
31.51	22	1 1 0
38.85	100	1 1 1
45.16	48	2 0 0
50.85	12	2 1 0
56.11	9	2 1 1
65.78	30	2 2 0
70.34	5	3 0 0
79.11	36	3 1 1
83.38	10	2 2 2


[4]
Structure and theoretical PXRD pattern of Ge3B (a cell relaxed with PBE; Cu Kα).

Cell and atoms:
```
data_Ge3B
_chemical_formula_sum 'Ge12 B4'
_cell_length_a 6.4203
_cell_length_b 6.4203
_cell_length_c 6.4203
_cell_angle_alpha 90.00
_cell_angle_beta 90.00
_cell_angle_gamma 90.00
_symmetry_space_group_name_H-M 'F m -3 m'
_symmetry_Int_Tables_number 225
_symmetry_space_group_name_Hall '-F 4 2 3'
loop_
_atom_site_label
_atom_site_fract_x
_atom_site_fract_y
_atom_site_fract_z
_atom_site_occupancy
Ge1 0.0000 0.0000 0.0000 1
Ge2 0.2500 0.2500 0.2500 1
B1 0.0000 0.0000 0.5000 1
```

Peak list (10 most intense, 10 to 90 degrees two-theta, by angle)
Position (°2θ)	intensity	hkl
24.01	20	1 1 1
27.79	11	2 0 0
39.71	100	2 2 0
46.94	10	3 1 1
57.41	16	4 0 0
63.12	4	3 3 1
64.96	4	4 2 0
72.07	33	4 2 2
77.21	3	5 1 1
85.57	11	4 4 0